# 1
Na3Np3GaS8: calculated PXRD pattern (Cu Kα (λ = 1.5418 Å)), based on a PBE-relaxed structure.

Crystal structure
a b c (Å): 7.9468 7.9468 8.0986
angles (deg): 119.39 119.39 59.99
Atoms (fractional coordinates):
Na (0.0000, 0.0000, 0.0000)
Na (0.0000, 0.5000, 0.0000)
Na (0.5000, 0.0000, 0.0000)
Np (0.0000, 0.5000, 0.5000)
Np (0.5000, 0.0000, 0.5000)
Np (0.5000, 0.5000, 0.5000)
Ga (0.0000, 0.0000, 0.5000)
S (0.2274, 0.7557, 0.7115)
S (0.2280, 0.2280, 0.7097)
S (0.2443, 0.7726, 0.2885)
S (0.2568, 0.2568, 0.2727)
S (0.7432, 0.7432, 0.7273)
S (0.7557, 0.2274, 0.7115)
S (0.7720, 0.7720, 0.2903)
S (0.7726, 0.2443, 0.2885)

Principal peaks in the range 5 to 70 degrees two-theta, in order of rising 2θ:
2theta, d [Å], I (rel.)
13.27, 6.673, 100.0
26.28, 3.391, 49.5
27.41, 3.254, 32.1
31.55, 2.835, 83.5
34.36, 2.610, 19.9
41.04, 2.199, 23.0
44.78, 2.024, 29.4
45.67, 1.987, 29.8
47.77, 1.904, 25.2
56.57, 1.627, 15.3

# 2
Sr2AlAu5: calculated PXRD pattern (Cu Kα (λ = 1.5418 Å)), based on a PBE-relaxed structure.

Crystal structure
a b c (Å): 6.5295 6.5295 6.6508
angles (deg): 119.17 119.17 90.10
Atoms (fractional coordinates):
Sr (0.2494, 0.7506, 0.0000)
Sr (0.7506, 0.2494, 0.0000)
Al (0.9502, 0.9502, 0.3988)
Au (0.2663, 0.7254, 0.4919)
Au (0.2676, 0.2676, 0.4940)
Au (0.6908, 0.6908, 0.8824)
Au (0.7254, 0.2663, 0.4919)
Au (0.7265, 0.7265, 0.4925)

Principal peaks in the range 5 to 70 degrees two-theta, in order of rising 2θ:
2theta, d [Å], I (rel.)
16.40, 5.404, 52.5
18.43, 4.815, 43.0
27.32, 3.265, 18.4
33.09, 2.707, 100.0
33.21, 2.698, 99.5
37.35, 2.408, 33.5
39.02, 2.309, 72.5
55.09, 1.667, 19.9
56.36, 1.632, 22.9
66.92, 1.398, 33.2

# 3
Mg2TeP: calculated PXRD pattern (Cu Kα (λ = 1.5418 Å)), based on a PBE-relaxed structure.

Crystal structure
a b c (Å): 7.6808 7.6808 7.6808
angles (deg): 155.37 150.29 38.96
Atoms (fractional coordinates):
Mg (0.0000, 0.0000, 0.0000)
Mg (0.7016, 0.2016, 0.5000)
Te (0.3848, 0.3848, 0.0000)
P (0.1420, 0.6420, 0.5000)

Principal peaks in the range 5 to 70 degrees two-theta, in order of rising 2θ:
2theta, d [Å], I (rel.)
12.22, 7.241, 66.4
23.41, 3.800, 52.2
24.59, 3.621, 42.2
27.92, 3.195, 44.8
29.27, 3.052, 77.4
33.05, 2.711, 35.1
37.82, 2.379, 100.0
38.58, 2.333, 26.3
41.62, 2.170, 34.1
63.83, 1.458, 18.7

# 4
SbO2: calculated PXRD pattern (Cu Kα (λ = 1.5418 Å)), based on a PBE-relaxed structure.

Crystal structure
a b c (Å): 5.9194 13.2188 6.5688
angles (deg): 90.00 90.00 90.00
Atoms (fractional coordinates):
Sb (0.0000, 0.0000, 0.0000)
Sb (0.0000, 0.5000, 0.0000)
Sb (0.2500, 0.0708, 0.4752)
Sb (0.2500, 0.4292, 0.4752)
Sb (0.5000, 0.0000, 0.0000)
Sb (0.5000, 0.5000, 0.0000)
Sb (0.7500, 0.5708, 0.5248)
Sb (0.7500, 0.9292, 0.5248)
O (0.0010, 0.5135, 0.3163)
O (0.0010, 0.9865, 0.3163)
O (0.2500, 0.1010, 0.0333)
O (0.2500, 0.3990, 0.0333)
O (0.2500, 0.5991, 0.9793)
O (0.2500, 0.9009, 0.9793)
O (0.4990, 0.5135, 0.3163)
O (0.4990, 0.9865, 0.3163)
O (0.5010, 0.0135, 0.6837)
O (0.5010, 0.4865, 0.6837)
O (0.7500, 0.0991, 0.0207)
O (0.7500, 0.4009, 0.0207)
O (0.7500, 0.6010, 0.9667)
O (0.7500, 0.8990, 0.9667)
O (0.9990, 0.0135, 0.6837)
O (0.9990, 0.4865, 0.6837)

Principal peaks in the range 5 to 70 degrees two-theta, in order of rising 2θ:
2theta, d [Å], I (rel.)
13.40, 6.609, 100.0
25.20, 3.535, 10.3
27.15, 3.284, 18.7
28.68, 3.113, 14.7
30.39, 2.941, 15.1
33.20, 2.699, 15.4
35.95, 2.498, 17.6
40.93, 2.205, 8.4
43.31, 2.089, 10.7
51.73, 1.767, 7.9

# 5
K3Np3AuSe8: calculated PXRD pattern (Cu Kα (λ = 1.5418 Å)), based on a PBE-relaxed structure.

Crystal structure
a b c (Å): 8.4700 8.4700 9.2537
angles (deg): 118.97 118.97 56.88
Atoms (fractional coordinates):
K (0.0000, 0.0000, 0.0000)
K (0.0000, 0.5000, 0.0000)
K (0.5000, 0.0000, 0.0000)
Np (0.0000, 0.5000, 0.5000)
Np (0.5000, 0.0000, 0.5000)
Np (0.5000, 0.5000, 0.5000)
Au (0.0000, 0.0000, 0.5000)
Se (0.2132, 0.7522, 0.6868)
Se (0.2478, 0.7868, 0.3132)
Se (0.2665, 0.2665, 0.2927)
Se (0.2853, 0.2853, 0.7350)
Se (0.7147, 0.7147, 0.2650)
Se (0.7335, 0.7335, 0.7073)
Se (0.7522, 0.2132, 0.6868)
Se (0.7868, 0.2478, 0.3132)

Principal peaks in the range 5 to 70 degrees two-theta, in order of rising 2θ:
2theta, d [Å], I (rel.)
11.46, 7.724, 100.0
24.28, 3.666, 15.5
25.37, 3.510, 14.1
28.72, 3.108, 33.6
29.42, 3.036, 63.5
37.00, 2.430, 21.4
40.36, 2.235, 23.5
42.77, 2.114, 21.0
44.26, 2.047, 11.4
54.22, 1.692, 11.0

# 6
AcSmSb2: calculated PXRD pattern (Cu Kα (λ = 1.5418 Å)), based on a PBE-relaxed structure.

Crystal structure
a b c (Å): 4.6063 4.6063 15.2847
angles (deg): 90.00 90.00 120.00
Atoms (fractional coordinates):
Ac (0.3333, 0.6667, 0.2500)
Ac (0.6667, 0.3333, 0.7500)
Sm (0.0000, 0.0000, 0.0000)
Sm (0.0000, 0.0000, 0.5000)
Sb (0.3333, 0.6667, 0.6148)
Sb (0.3333, 0.6667, 0.8852)
Sb (0.6667, 0.3333, 0.1148)
Sb (0.6667, 0.3333, 0.3852)

Principal peaks in the range 5 to 70 degrees two-theta, in order of rising 2θ:
2theta, d [Å], I (rel.)
25.18, 3.536, 60.6
28.42, 3.141, 100.0
32.45, 2.759, 13.1
37.05, 2.426, 30.3
39.11, 2.303, 60.3
42.09, 2.147, 24.5
47.09, 1.930, 11.4
49.05, 1.857, 22.5
63.24, 1.470, 26.6
64.45, 1.446, 19.8

Please write out number 4 again, unchanged.
SbO2: calculated PXRD pattern (Cu Kα (λ = 1.5418 Å)), based on a PBE-relaxed structure.

Crystal structure
a b c (Å): 5.9194 13.2188 6.5688
angles (deg): 90.00 90.00 90.00
Atoms (fractional coordinates):
Sb (0.0000, 0.0000, 0.0000)
Sb (0.0000, 0.5000, 0.0000)
Sb (0.2500, 0.0708, 0.4752)
Sb (0.2500, 0.4292, 0.4752)
Sb (0.5000, 0.0000, 0.0000)
Sb (0.5000, 0.5000, 0.0000)
Sb (0.7500, 0.5708, 0.5248)
Sb (0.7500, 0.9292, 0.5248)
O (0.0010, 0.5135, 0.3163)
O (0.0010, 0.9865, 0.3163)
O (0.2500, 0.1010, 0.0333)
O (0.2500, 0.3990, 0.0333)
O (0.2500, 0.5991, 0.9793)
O (0.2500, 0.9009, 0.9793)
O (0.4990, 0.5135, 0.3163)
O (0.4990, 0.9865, 0.3163)
O (0.5010, 0.0135, 0.6837)
O (0.5010, 0.4865, 0.6837)
O (0.7500, 0.0991, 0.0207)
O (0.7500, 0.4009, 0.0207)
O (0.7500, 0.6010, 0.9667)
O (0.7500, 0.8990, 0.9667)
O (0.9990, 0.0135, 0.6837)
O (0.9990, 0.4865, 0.6837)

Principal peaks in the range 5 to 70 degrees two-theta, in order of rising 2θ:
2theta, d [Å], I (rel.)
13.40, 6.609, 100.0
25.20, 3.535, 10.3
27.15, 3.284, 18.7
28.68, 3.113, 14.7
30.39, 2.941, 15.1
33.20, 2.699, 15.4
35.95, 2.498, 17.6
40.93, 2.205, 8.4
43.31, 2.089, 10.7
51.73, 1.767, 7.9